For LaTa2CuClO7, a crystal structure in Alexandria, relaxed with GGA-PBE gives the calculated XRD peak list in this record (λ = 1.5418 Å (Cu Kα)).
Peak positions follow from Bragg's law for the DFT cell and can differ from measured ones.

The 12 most intense peaks (2θ = 10–80°), by angle:
h k l, 2θ (°), Rel. int.
0 0 3, 22.61, 28.1
1 0 0, 22.76, 55.1
1 0 2, 27.38, 100.0
1 0 3, 32.30, 94.0
1 1 0, 32.41, 82.5
1 1 4, 44.94, 26.1
2 0 0, 46.49, 44.1
2 1 0, 52.34, 22.5
2 1 2, 54.80, 29.3
2 1 3, 57.75, 38.3
2 2 0, 67.90, 24.6
3 1 0, 77.21, 21.9

Atomic structure:
```
12
Lattice="3.906 0.000 0.000 0.000 3.906 0.000 0.000 0.000 11.797" Properties=species:S:1:pos:R:3 pbc="T T T"
La 0.000 0.000 0.000
Ta 1.953 1.953 2.261
Ta 1.953 1.953 9.536
Cu 1.953 1.953 5.898
Cl 0.000 0.000 5.898
O 0.000 1.953 1.828
O 0.000 1.953 9.968
O 1.953 0.000 1.828
O 1.953 0.000 9.968
O 1.953 1.953 0.000
O 1.953 1.953 4.061
O 1.953 1.953 7.736
```